Calculated X-ray powder pattern
Compound: Sr4InFe3O12
Radiation: Cu Kα
Structure: a cell relaxed with PBE+U
No peak broadening, texture or thermal motion is included.

Top 10 peaks for 10 to 90 degrees two-theta, by angle:
- 15.74 deg, intensity 3.9
- 27.44 deg, intensity 2.3
- 31.79 deg, intensity 100.0
- 39.20 deg, intensity 7.0
- 42.49 deg, intensity 2.2
- 45.58 deg, intensity 36.5
- 56.64 deg, intensity 38.0
- 66.43 deg, intensity 21.2
- 75.54 deg, intensity 16.5
- 84.28 deg, intensity 7.0

Cell and atoms:
a = 6.894 Å, b = 6.894 Å, c = 6.894 Å
α = 109.47°, β = 109.47°, γ = 109.47°
Atoms (fractional coordinates):
Sr 0.000 0.000 0.500
Sr 0.000 0.500 0.000
Sr 0.500 0.000 0.000
Sr 0.500 0.500 0.500
In 0.000 0.000 0.000
Fe 0.000 0.500 0.500
Fe 0.500 0.000 0.500
Fe 0.500 0.500 0.000
O 0.000 0.264 0.264
O 0.000 0.736 0.736
O 0.250 0.500 0.750
O 0.250 0.750 0.500
O 0.264 0.000 0.264
O 0.264 0.264 0.000
O 0.500 0.250 0.750
O 0.500 0.750 0.250
O 0.736 0.000 0.736
O 0.736 0.736 0.000
O 0.750 0.250 0.500
O 0.750 0.500 0.250